No. 1
CdInHg2S4: theoretical powder X-ray diffraction pattern (copper Kα), based on a DFT-relaxed cell (GGA-PBE, Alexandria).

Top 10 peaks for 10 to 80 degrees two-theta, in order of rising 2θ:
2θ 23.8, intensity 23; 2θ 24.1, intensity 47; 2θ 25.6, intensity 57; 2θ 27.1, intensity 51; 2θ 27.3, intensity 100; 2θ 35.4, intensity 24; 2θ 42.0, intensity 41; 2θ 46.0, intensity 22; 2θ 46.2, intensity 45; 2θ 49.8, intensity 37

Structure:
```
CdInHg2S4
1.0
8.5045 0.0000 0.0000
0.0000 7.4814 0.0000
0.0000 0.0000 6.9593
Cd In Hg S
2 2 4 8
direct
0.0000 0.1633 0.0000
0.5000 0.8367 0.5000
0.0000 0.8354 0.5000
0.5000 0.1646 0.0000
0.2499 0.3315 0.5023
0.2501 0.6685 0.0023
0.7501 0.3315 0.5023
0.7499 0.6685 0.0023
0.0000 0.1549 0.3751
0.0000 0.8399 0.8665
0.2461 0.6711 0.3877
0.2539 0.3289 0.8877
0.5000 0.1601 0.3665
0.5000 0.8451 0.8751
0.7461 0.3289 0.8877
0.7539 0.6711 0.3877
```

No. 2
CdInHg2Sb: theoretical powder X-ray diffraction pattern (copper Kα), based on a DFT-relaxed cell (GGA-PBE, Alexandria).

Top 10 peaks for 10 to 80 degrees two-theta, in order of rising 2θ:
2θ 16.0, intensity 35; 2θ 28.0, intensity 100; 2θ 32.4, intensity 36; 2θ 32.5, intensity 72; 2θ 36.4, intensity 20; 2θ 46.5, intensity 80; 2θ 55.1, intensity 15; 2θ 55.2, intensity 31; 2θ 57.8, intensity 28; 2θ 77.3, intensity 24

Structure:
```
CdInHg2Sb
1.0
5.5173 0.0000 0.0000
0.0000 5.5173 0.0000
0.0000 0.0000 5.5341
Cd In Hg Sb
1 1 2 1
direct
0.0000 0.0000 0.0000
0.0000 0.0000 0.5000
0.0000 0.5000 0.5000
0.5000 0.0000 0.5000
0.5000 0.5000 0.0000
```

No. 3
SmCd2InHg5: theoretical powder X-ray diffraction pattern (copper Kα), based on a DFT-relaxed cell (GGA-PBE, Alexandria).

Top 10 peaks for 10 to 80 degrees two-theta, in order of rising 2θ:
2θ 33.6, intensity 100; 2θ 37.1, intensity 21; 2θ 37.7, intensity 18; 2θ 41.8, intensity 13; 2θ 54.0, intensity 13; 2θ 57.1, intensity 10; 2θ 57.6, intensity 10; 2θ 64.7, intensity 15; 2θ 65.5, intensity 14; 2θ 70.5, intensity 11

Structure:
```
SmCd2InHg5
1.0
2.4220 -6.4795 0.0000
2.4220 6.4795 0.0000
0.0000 0.0000 14.3035
Sm Cd In Hg
2 4 2 10
direct
0.0913 0.9087 0.5000
0.9087 0.0913 0.0000
0.4130 0.5870 0.4920
0.4154 0.5846 0.8305
0.5846 0.4154 0.3305
0.5870 0.4130 0.9920
0.2308 0.7692 0.9913
0.7692 0.2308 0.4913
0.0710 0.9290 0.8271
0.0795 0.9205 0.1617
0.2461 0.7539 0.3255
0.2526 0.7474 0.6701
0.4116 0.5884 0.1568
0.5884 0.4116 0.6568
0.7474 0.2526 0.1701
0.7539 0.2461 0.8255
0.9205 0.0795 0.6617
0.9290 0.0710 0.3271
```

No. 4
Cd2In7SnHg2: theoretical powder X-ray diffraction pattern (copper Kα), based on a DFT-relaxed cell (GGA-PBE, Alexandria).

Top 10 peaks for 10 to 80 degrees two-theta, in order of rising 2θ:
2θ 19.0, intensity 16; 2θ 21.0, intensity 38; 2θ 31.8, intensity 24; 2θ 34.5, intensity 40; 2θ 36.0, intensity 100; 2θ 38.0, intensity 38; 2θ 40.7, intensity 14; 2θ 52.2, intensity 30; 2θ 62.7, intensity 19; 2θ 67.3, intensity 16

Structure:
```
Cd2In7SnHg2
1.0
-2.3681 14.2298 2.6030
2.3681 -14.2298 2.6030
2.3681 14.2298 -2.6030
Cd In Sn Hg
2 7 1 2
direct
0.1877 0.0000 0.1877
0.8123 0.0000 0.8123
0.0797 0.0020 0.0777
0.2505 0.5002 0.7503
0.4285 0.0048 0.4237
0.5018 0.5018 0.0000
0.5812 0.0048 0.5763
0.7499 0.5002 0.2497
0.9242 0.0020 0.9223
0.0040 0.5040 0.5000
0.3579 0.5001 0.8578
0.6422 0.5001 0.1422
```

Please write out number 4 again, unchanged.
Cd2In7SnHg2: theoretical powder X-ray diffraction pattern (copper Kα), based on a DFT-relaxed cell (GGA-PBE, Alexandria).

Top 10 peaks for 10 to 80 degrees two-theta, in order of rising 2θ:
2θ 19.0, intensity 16; 2θ 21.0, intensity 38; 2θ 31.8, intensity 24; 2θ 34.5, intensity 40; 2θ 36.0, intensity 100; 2θ 38.0, intensity 38; 2θ 40.7, intensity 14; 2θ 52.2, intensity 30; 2θ 62.7, intensity 19; 2θ 67.3, intensity 16

Structure:
```
Cd2In7SnHg2
1.0
-2.3681 14.2298 2.6030
2.3681 -14.2298 2.6030
2.3681 14.2298 -2.6030
Cd In Sn Hg
2 7 1 2
direct
0.1877 0.0000 0.1877
0.8123 0.0000 0.8123
0.0797 0.0020 0.0777
0.2505 0.5002 0.7503
0.4285 0.0048 0.4237
0.5018 0.5018 0.0000
0.5812 0.0048 0.5763
0.7499 0.5002 0.2497
0.9242 0.0020 0.9223
0.0040 0.5040 0.5000
0.3579 0.5001 0.8578
0.6422 0.5001 0.1422
```